Entry 1:
This entry pairs a crystal structure of Er2PN4 with its computed X-ray diffraction stick pattern. Radiation: Cu Kα (λ = 1.5418 Å). Structure: a PBE-relaxed structure.

Peak list (10 most intense, 15 to 90 degrees two-theta, low angle first)
23.29°, 3.820 Å, intensity 68
29.46°, 3.032 Å, intensity 66
31.76°, 2.818 Å, intensity 100
32.49°, 2.756 Å, intensity 96
34.24°, 2.619 Å, intensity 30
38.22°, 2.355 Å, intensity 45
45.78°, 1.982 Å, intensity 26
48.97°, 1.860 Å, intensity 35
52.99°, 1.728 Å, intensity 25
54.20°, 1.692 Å, intensity 27

Structure:
```
Er2PN4
1.0
0.000 4.918 6.065
3.094 0.000 6.065
3.094 4.918 0.000
Er P N
4 2 8
Cartesian
2.320 0.615 4.549
3.867 3.074 7.581
2.320 6.762 4.549
3.867 9.221 7.581
2.320 3.689 4.549
3.867 6.148 7.581
3.313 2.644 5.358
3.313 4.734 3.739
4.860 5.103 6.771
1.328 2.644 3.739
4.860 7.193 8.390
1.328 4.734 5.358
2.874 5.103 8.390
2.874 7.193 6.771
```

Entry 2:
This entry pairs a crystal structure of ErP4N7 with its computed X-ray diffraction stick pattern. Radiation: Cu Kα (λ = 1.5418 Å). Structure: a PBE-relaxed structure.

Peak list (10 most intense, 15 to 90 degrees two-theta, low angle first)
20.67°, 4.298 Å, intensity 47
27.59°, 3.233 Å, intensity 28
28.81°, 3.099 Å, intensity 95
31.07°, 2.878 Å, intensity 100
39.33°, 2.291 Å, intensity 20
39.51°, 2.281 Å, intensity 17
40.77°, 2.213 Å, intensity 41
44.99°, 2.015 Å, intensity 22
49.61°, 1.838 Å, intensity 16
51.77°, 1.766 Å, intensity 18

Structure:
```
ErP4N7
1.0
12.649 0.000 0.000
0.000 4.582 0.000
0.000 0.000 4.562
Er P N
2 8 14
Cartesian
0.000 0.909 0.000
6.324 3.672 2.281
1.411 3.222 2.108
3.114 3.590 4.269
3.210 0.991 1.988
4.913 1.360 4.389
7.736 1.360 4.389
9.438 0.991 1.988
9.535 3.590 4.269
11.238 3.222 2.108
0.000 3.678 1.431
1.466 3.741 3.643
1.547 1.609 1.878
2.718 4.011 1.341
3.607 0.571 3.622
4.777 2.973 4.159
4.858 0.841 1.362
6.324 0.904 3.711
7.791 0.841 1.362
7.871 2.973 4.159
9.042 0.571 3.622
9.931 4.011 1.341
11.102 1.609 1.878
11.183 3.741 3.643
```

Entry 3:
This entry pairs a crystal structure of ErPaP2N6 with its computed X-ray diffraction stick pattern. Radiation: Cu Kα (λ = 1.5418 Å). Structure: a PBE-relaxed structure.

Peak list (10 most intense, 15 to 90 degrees two-theta, low angle first)
18.35°, 4.836 Å, intensity 100
25.40°, 3.506 Å, intensity 48
28.76°, 3.104 Å, intensity 95
33.25°, 2.695 Å, intensity 28
34.07°, 2.631 Å, intensity 55
34.35°, 2.610 Å, intensity 41
37.19°, 2.418 Å, intensity 21
41.56°, 2.173 Å, intensity 26
49.04°, 1.858 Å, intensity 22
56.35°, 1.633 Å, intensity 21

Structure:
```
ErPaP2N6
1.0
5.003 -4.732 0.000
5.003 4.732 0.000
-1.385 0.000 5.221
Er Pa P N
2 2 4 12
Cartesian
3.964 3.843 3.916
4.657 -3.843 1.305
4.657 1.732 1.305
3.964 -1.732 3.916
1.857 0.838 3.894
2.549 -0.838 1.283
6.072 0.838 3.937
6.764 -0.838 1.327
0.309 1.036 3.486
2.580 2.140 4.517
1.001 -1.036 0.875
2.790 0.289 2.576
2.098 -0.289 5.186
5.349 2.140 3.314
3.272 -2.140 1.907
6.523 0.289 0.035
5.831 -0.289 2.645
7.620 1.036 4.345
6.041 -2.140 0.703
8.312 -1.036 1.735
```

Entry 4:
This entry pairs a crystal structure of Er8Te4P3N with its computed X-ray diffraction stick pattern. Radiation: Cu Kα (λ = 1.5418 Å). Structure: a PBE-relaxed structure.

Peak list (10 most intense, 15 to 90 degrees two-theta, low angle first)
26.11°, 3.413 Å, intensity 13
27.15°, 3.284 Å, intensity 19
31.01°, 2.883 Å, intensity 100
33.65°, 2.664 Å, intensity 27
38.83°, 2.319 Å, intensity 12
43.44°, 2.083 Å, intensity 27
45.40°, 1.997 Å, intensity 38
56.00°, 1.642 Å, intensity 18
61.25°, 1.513 Å, intensity 18
74.86°, 1.268 Å, intensity 14

Structure:
```
Er8Te4P3N
1.0
3.995 2.307 6.957
-3.995 2.307 6.957
0.000 -4.613 6.957
Er Te P N
8 4 3 1
Cartesian
0.000 0.000 4.928
-1.870 -1.080 11.812
0.000 -2.160 9.058
-1.870 1.080 9.058
1.870 -1.080 11.812
0.000 2.160 11.812
1.870 1.080 9.058
0.000 0.000 15.943
0.000 0.000 0.000
-1.997 -1.153 6.957
-1.997 1.153 13.914
0.000 2.307 6.957
-3.995 0.000 10.435
-1.997 1.153 3.478
1.997 1.153 3.478
0.000 0.000 10.435
```